Calculated PXRD pattern of Li2FeF4 for Cu Kα (weighted mean of Kα1 and Kα2), from a cell relaxed with PBE+U.
Lines closer than 0.1° are merged.

Atomic structure:
```
data_Li2FeF4
_chemical_formula_sum 'Li4 Fe2 F8'
_space_group_name_H-M_alt 'I -4'
_space_group_IT_number 82
_space_group_name_Hall 'I -4'
_cell_length_a 4.9097
_cell_length_b 4.9097
_cell_length_c 8.0104
_cell_angle_alpha 90.00
_cell_angle_beta 90.00
_cell_angle_gamma 90.00
loop_
_atom_site_label
_atom_site_type_symbol
_atom_site_fract_x
_atom_site_fract_y
_atom_site_fract_z
Li1 Li 0.0000 0.0000 0.0000
Li2 Li 0.0000 0.5000 0.2500
Fe1 Fe 0.0000 0.0000 0.5000
F1 F 0.2077 0.2811 0.1075
```

Principal peaks in the range 10 to 90 degrees two-theta, sorted by position:
hkl  2θ (°)  d [Å]  I/Imax
1 0 1  21.22  4.186  100
0 0 2  22.20  4.005  45
1 1 0  25.66  3.472  32
1 1 2  34.18  2.623  98
1 0 3  38.37  2.346  22
2 1 1  42.70  2.118  39
2 2 0  52.75  1.735  33
1 2 3  54.07  1.696  16
2 0 4  59.57  1.552  36
1 3 2  64.35  1.448  20